Simulated X-ray powder pattern of Ca6P19Rh30 for a wavelength of 1.5418 Å, from a cell relaxed with PBE.
Intensities are scaled so that the largest is 100.

Top 8 peaks for 2θ = 10–90°, sorted by position:
d 5.132, I = 20
d 3.071, I = 14
d 2.417, I = 100
d 1.949, I = 16
d 1.940, I = 19
d 1.916, I = 20
d 1.891, I = 14
d 1.798, I = 18

Structure:
```
data_Ca6P19Rh30
_chemical_formula_sum 'Ca6 P19 Rh30'
_symmetry_space_group_name_H-M 'P 3'
_symmetry_Int_Tables_number 143
_cell_length_a 15.6780
_cell_length_b 15.6780
_cell_length_c 3.8322
_cell_angle_alpha 90.00
_cell_angle_beta 90.00
_cell_angle_gamma 120.00
loop_
_symmetry_equiv_pos_as_xyz
'x,y,z'
'-y,x-y,z'
'-x+y,-x,z'
loop_
_atom_site_label
_atom_site_type_symbol
_atom_site_fract_x
_atom_site_fract_y
_atom_site_fract_z
_atom_site_occupancy
Ca1 Ca 0.0366 0.2737 0.0000 1
Ca2 Ca 0.4297 0.3695 0.5000 1
P1 P 0.0158 0.1183 0.5004 1
P2 P 0.0770 0.5501 0.0022 1
P3 P 0.1924 0.4100 0.4963 1
P4 P 0.2711 0.2336 0.0003 1
P5 P 0.3333 0.6667 0.6706 1
P6 P 0.3954 0.0997 0.4991 1
P7 P 0.5645 0.3494 0.9993 1
Rh1 Rh 0.0563 0.4378 0.4962 1
Rh2 Rh 0.0736 0.8227 0.5001 1
Rh3 Rh 0.1033 0.7144 0.0025 1
Rh4 Rh 0.1092 0.0943 0.0009 1
Rh5 Rh 0.1807 0.6431 0.5014 1
Rh6 Rh 0.2094 0.5194 0.9928 1
Rh7 Rh 0.2591 0.1274 0.5011 1
Rh8 Rh 0.4079 0.2070 0.9985 1
Rh9 Rh 0.4894 0.0826 0.9995 1
Rh10 Rh 0.5566 0.2379 0.4994 1
```